Simulated XRD peak list of Ac4TmMg2 for a wavelength of 1.5418 Å, from a GGA-PBE-relaxed structure.
Peak positions follow from Bragg's law for the DFT cell and can differ from measured ones.

Principal peaks in the range 10° ≤ 2θ ≤ 90°, by angle:
2theta, I/Imax
20.67, 23
22.06, 39
30.41, 100
31.40, 46
53.41, 21
55.28, 38

```
data_Ac4TmMg2
_chemical_formula_sum 'Ac4 Tm1 Mg2'
_cell_length_a 7.1370
_cell_length_b 7.1370
_cell_length_c 7.1370
_cell_angle_alpha 111.26
_cell_angle_beta 111.26
_cell_angle_gamma 105.96
_symmetry_space_group_name_H-M 'P 1'
_symmetry_Int_Tables_number 1
_symmetry_space_group_name_Hall 'P 1'
loop_
_atom_site_label
_atom_site_type_symbol
_atom_site_fract_x
_atom_site_fract_y
_atom_site_fract_z
Ac1 Ac 0.0000 0.0000 0.5000
Ac2 Ac 0.0000 0.5000 0.0000
Ac3 Ac 0.5000 0.0000 0.0000
Ac4 Ac 0.5000 0.5000 0.5000
Tm1 Tm 0.0000 0.0000 0.0000
Mg1 Mg 0.0000 0.5000 0.5000
Mg2 Mg 0.5000 0.0000 0.5000
```